Record 1
The following is a calculated powder XRD pattern of Zr4Te3. It was derived from a cell relaxed with GGA-PBE, using a wavelength of 1.5418 Å.

```
Zr4Te3
1.0
8.522 0.000 0.000
-4.261 7.381 0.000
0.000 0.000 5.578
Zr Te
8 6
Direct
0.105 0.454 0.250
0.333 0.667 0.750
0.349 0.895 0.250
0.454 0.349 0.750
0.546 0.651 0.250
0.651 0.105 0.750
0.667 0.333 0.250
0.895 0.546 0.750
0.055 0.300 0.750
0.246 0.945 0.750
0.300 0.246 0.250
0.700 0.754 0.750
0.754 0.055 0.250
0.945 0.700 0.250
```

The 12 most intense peaks (2θ from 10° to 90°), sorted by position:
- 20.85 deg, intensity 9
- 26.32 deg, intensity 9
- 32.09 deg, intensity 83
- 36.00 deg, intensity 100
- 36.52 deg, intensity 10
- 45.58 deg, intensity 10
- 46.02 deg, intensity 27
- 47.30 deg, intensity 9
- 49.40 deg, intensity 8
- 59.78 deg, intensity 23
- 67.12 deg, intensity 16
- 69.46 deg, intensity 13


Record 2
The following is a calculated powder XRD pattern of Cu12Sb4TeS12. It was derived from a cell relaxed with GGA-PBE, using a wavelength of 1.5418 Å.

```
Cu12Sb4TeS12
1.0
-5.244 5.244 5.244
5.244 -5.244 5.244
5.244 5.244 -5.244
Cu Sb Te S
12 4 1 12
Direct
0.000 0.245 0.245
0.000 0.755 0.755
0.245 0.000 0.245
0.245 0.245 0.000
0.250 0.500 0.750
0.250 0.750 0.500
0.500 0.250 0.750
0.500 0.750 0.250
0.750 0.250 0.500
0.750 0.500 0.250
0.755 0.000 0.755
0.755 0.755 0.000
0.000 0.000 0.548
0.000 0.548 0.000
0.452 0.452 0.452
0.548 0.000 0.000
0.000 0.000 0.000
0.000 0.250 0.491
0.000 0.491 0.250
0.241 0.750 0.750
0.250 0.000 0.491
0.250 0.491 0.000
0.491 0.000 0.250
0.491 0.250 0.000
0.509 0.509 0.759
0.509 0.759 0.509
0.750 0.241 0.750
0.750 0.750 0.241
0.759 0.509 0.509
```

The 12 most intense peaks (2θ from 10° to 90°), sorted by position:
- 20.74 deg, intensity 8
- 24.00 deg, intensity 14
- 29.50 deg, intensity 100
- 31.93 deg, intensity 20
- 34.20 deg, intensity 32
- 36.34 deg, intensity 15
- 44.02 deg, intensity 11
- 49.14 deg, intensity 66
- 53.88 deg, intensity 13
- 58.36 deg, intensity 30
- 72.03 deg, intensity 8
- 79.70 deg, intensity 10


Record 3
The following is a calculated powder XRD pattern of Co14C. It was derived from a cell relaxed with GGA-PBE, using a wavelength of 1.5418 Å.

```
Co14C
1.0
3.510 2.027 4.075
-3.510 2.027 4.075
0.000 -4.053 4.075
Co C
14 1
Direct
0.140 0.140 0.140
0.177 0.500 0.823
0.177 0.823 0.500
0.213 0.213 0.560
0.213 0.560 0.213
0.440 0.787 0.787
0.500 0.177 0.823
0.500 0.823 0.177
0.560 0.213 0.213
0.787 0.440 0.787
0.787 0.787 0.440
0.823 0.177 0.500
0.823 0.500 0.177
0.860 0.860 0.860
0.000 0.000 0.000
```

The 12 most intense peaks (2θ from 10° to 90°), sorted by position:
- 32.80 deg, intensity 7
- 32.91 deg, intensity 12
- 39.92 deg, intensity 47
- 41.96 deg, intensity 34
- 44.46 deg, intensity 38
- 44.72 deg, intensity 17
- 50.28 deg, intensity 100
- 62.98 deg, intensity 8
- 64.90 deg, intensity 7
- 67.35 deg, intensity 11
- 82.43 deg, intensity 18
- 86.20 deg, intensity 13